This entry pairs a crystal structure of TlIn2F8 with its computed PXRD pattern. Radiation: copper Kα. Structure: the GGA-PBE geometry in Alexandria.
Intensities are scaled so that the largest is 100.

The 10 most intense peaks (10 to 90 degrees two-theta), by angle:
2θ = 21.5°, I = 51.7, hkl 1 1 -1; 2θ = 22.9°, I = 72.2, hkl 2 0 -1; 2θ = 24.2°, I = 100.0, hkl 1 1 1; 2θ = 26.0°, I = 65.8, hkl 0 2 0; 2θ = 32.6°, I = 43.7, hkl 3 1 0; 2θ = 35.0°, I = 22.8, hkl 2 2 -1; 2θ = 38.5°, I = 26.6, hkl 2 2 1; 2θ = 41.9°, I = 22.5, hkl 0 2 2; 2θ = 42.0°, I = 27.0, hkl 3 1 -2; 2θ = 44.8°, I = 30.7, hkl 1 3 1

Atomic structure:
Lattice parameters (Å, degrees): 9.1562 6.8499 5.6593 90.00 101.10 90.00
Space group C2/m (No. 12)
Unique sites:
Tl 0.0000 0.0000 0.0000 x2
In 0.1796 0.5000 0.4480 x4
F 0.0566 0.5000 0.7275 x4
F 0.1440 0.1906 0.3392 x8
F 0.2075 0.0000 0.8352 x4

***

This entry pairs a crystal structure of TlInF2 with its computed PXRD pattern. Radiation: copper Kα. Structure: the GGA-PBE geometry in Alexandria.
Intensities are scaled so that the largest is 100.

The 10 most intense peaks (10 to 90 degrees two-theta), by angle:
2θ = 27.2°, I = 100.0, hkl 0 1 1; 2θ = 27.5°, I = 98.3, hkl 1 0 1; 2θ = 30.4°, I = 58.9, hkl 1 1 0; 2θ = 34.3°, I = 20.9, hkl 0 0 2; 2θ = 35.0°, I = 16.5, hkl 1 1 1; 2θ = 43.1°, I = 18.8, hkl 0 2 0; 2θ = 43.9°, I = 17.8, hkl 2 0 0; 2θ = 46.5°, I = 54.2, hkl 1 1 2; 2θ = 51.9°, I = 34.3, hkl 1 2 1; 2θ = 52.4°, I = 36.0, hkl 2 1 1

Atomic structure:
Lattice parameters (Å, degrees): 4.1243 4.1964 5.2292 90.00 90.00 90.00
Space group Pmm2 (No. 25)
Unique sites:
Tl 0.0000 0.0000 0.0000 x1
In 0.5000 0.5000 0.5460 x1
F 0.0000 0.5000 0.3115 x1
F 0.5000 0.0000 0.3179 x1

***

This entry pairs a crystal structure of Tl5InF6 with its computed PXRD pattern. Radiation: copper Kα. Structure: the GGA-PBE geometry in Alexandria.
Intensities are scaled so that the largest is 100.

The 10 most intense peaks (10 to 90 degrees two-theta), by angle:
2θ = 23.7°, I = 31.2, hkl 1 1 -2; 2θ = 24.2°, I = 38.0, hkl 0 0 2; 2θ = 27.1°, I = 100.0, hkl 1 3 0; 2θ = 27.6°, I = 56.1, hkl 2 0 0; 2θ = 28.3°, I = 29.4, hkl 2 0 -2; 2θ = 28.8°, I = 20.5, hkl 0 2 2; 2θ = 32.5°, I = 64.4, hkl 1 3 -2; 2θ = 40.4°, I = 22.9, hkl 1 3 2; 2θ = 45.8°, I = 19.9, hkl 3 3 -2; 2θ = 48.6°, I = 23.8, hkl 3 3 0

Atomic structure:
Lattice parameters (Å, degrees): 7.0786 11.4508 8.0731 90.00 114.25 90.00
Space group Cm (No. 8)
Unique sites:
Tl 0.0000 0.0000 0.0000 x2
Tl 0.0118 0.3445 0.1114 x4
Tl 0.0423 0.3314 0.6219 x4
In 0.0266 0.0000 0.4772 x2
F 0.1155 0.5000 0.8626 x2
F 0.2071 0.5000 0.4611 x2
F 0.4175 0.3599 0.2503 x4
F 0.4211 0.2893 0.8398 x4

***

This entry pairs a crystal structure of TlInF with its computed PXRD pattern. Radiation: copper Kα. Structure: the GGA-PBE geometry in Alexandria.
Intensities are scaled so that the largest is 100.

The 10 most intense peaks (10 to 90 degrees two-theta), by angle:
2θ = 12.9°, I = 27.2, hkl 0 0 2; 2θ = 25.9°, I = 61.3, hkl 0 0 4; 2θ = 28.3°, I = 42.7, hkl 1 0 1; 2θ = 29.1°, I = 100.0, hkl 0 2 2; 2θ = 33.9°, I = 20.6, hkl 1 0 3; 2θ = 38.8°, I = 40.3, hkl 1 2 1; 2θ = 43.2°, I = 65.7, hkl 1 0 5; 2θ = 47.7°, I = 25.8, hkl 0 2 6; 2θ = 61.5°, I = 29.3, hkl 1 2 7; 2θ = 65.1°, I = 20.4, hkl 2 2 2

Atomic structure:
Lattice parameters (Å, degrees): 3.2376 6.8638 13.7599 90.00 90.00 90.00
Space group Immm (No. 71)
Unique sites:
Tl 0.0000 0.2451 0.0000 x4
In 0.0000 0.0000 0.2335 x4
F 0.0000 0.0000 0.3973 x4

***

This entry pairs a crystal structure of TmIn2F11 with its computed PXRD pattern. Radiation: copper Kα. Structure: the GGA-PBE geometry in Alexandria.
Intensities are scaled so that the largest is 100.

The 10 most intense peaks (10 to 90 degrees two-theta), by angle:
2θ = 14.1°, I = 42.4, hkl 1 1 0; 2θ = 21.8°, I = 100.0, hkl 1 1 2; 2θ = 22.5°, I = 26.7, hkl 1 2 1; 2θ = 24.3°, I = 73.9, hkl 0 2 2; 2θ = 25.3°, I = 38.7, hkl 2 1 1; 2θ = 27.7°, I = 26.1, hkl 2 0 2; 2θ = 44.7°, I = 26.2, hkl 1 3 4; 2θ = 46.6°, I = 35.6, hkl 3 3 2; 2θ = 48.8°, I = 27.4, hkl 4 2 0; 2θ = 49.8°, I = 25.7, hkl 1 5 2

Atomic structure:
Lattice parameters (Å, degrees): 8.0420 10.0402 10.7363 90.00 90.00 90.00
Space group Ibam (No. 72)
Unique sites:
Tm 0.0000 0.0000 0.2500 x4
In 0.1646 0.3078 0.0000 x8
F 0.0000 0.5000 0.0000 x4
F 0.1025 0.1711 0.1425 x16
F 0.1055 0.3073 0.5000 x8
F 0.2128 0.0762 0.3655 x16

***

This entry pairs a crystal structure of UIn2F6 with its computed PXRD pattern. Radiation: copper Kα. Structure: the GGA-PBE geometry in Alexandria.
Intensities are scaled so that the largest is 100.

The 10 most intense peaks (10 to 90 degrees two-theta), by angle:
2θ = 15.3°, I = 41.1, hkl 1 1 0; 2θ = 18.7°, I = 65.8, hkl 1 0 1; 2θ = 22.6°, I = 67.0, hkl 1 1 1; 2θ = 24.2°, I = 44.3, hkl 0 2 1; 2θ = 26.6°, I = 100.0, hkl 3 0 0; 2θ = 28.8°, I = 47.8, hkl 2 1 1; 2θ = 31.5°, I = 25.9, hkl 0 3 1; 2θ = 42.7°, I = 26.9, hkl 3 2 1; 2θ = 43.2°, I = 81.4, hkl 0 3 2; 2θ = 47.0°, I = 36.2, hkl 3 3 0

Atomic structure:
Lattice parameters (Å, degrees): 11.6026 11.6026 5.3753 90.00 90.00 120.00
Space group P-3m1 (No. 164)
Unique sites:
U 0.0000 0.0000 0.0000 x1
U 0.3333 0.6667 0.5254 x2
In 0.0000 0.3462 0.0000 x6
F 0.0964 0.1928 0.2029 x6
F 0.1537 0.5768 0.2994 x6
F 0.2434 0.4867 0.7581 x6

***

This entry pairs a crystal structure of U2InF11 with its computed PXRD pattern. Radiation: copper Kα. Structure: the GGA-PBE geometry in Alexandria.
Intensities are scaled so that the largest is 100.

The 10 most intense peaks (10 to 90 degrees two-theta), by angle:
2θ = 14.8°, I = 70.3, hkl 0 0 2; 2θ = 19.6°, I = 69.3, hkl 1 1 2; 2θ = 20.7°, I = 88.9, hkl 1 2 1; 2θ = 22.4°, I = 49.2, hkl 0 2 2; 2θ = 22.5°, I = 100.0, hkl 2 1 1; 2θ = 27.0°, I = 24.2, hkl 1 3 0; 2θ = 29.7°, I = 24.1, hkl 1 2 3; 2θ = 31.0°, I = 33.8, hkl 2 1 3; 2θ = 40.7°, I = 25.4, hkl 1 3 4; 2θ = 42.0°, I = 68.8, hkl 3 3 2

Atomic structure:
Lattice parameters (Å, degrees): 9.1074 10.6275 11.9428 90.00 90.00 90.00
Space group Ibam (No. 72)
Unique sites:
U 0.1517 0.1709 0.0000 x8
In 0.0000 0.5000 0.2500 x4
F 0.0000 0.0000 0.0000 x4
F 0.0707 0.2825 0.1277 x16
F 0.1655 0.2110 0.5000 x8
F 0.2424 0.4337 0.3784 x16